# Y2Al7Ag12
Simulated powder diffractogram, Cu Ka. Input: a DFT-relaxed cell (GGA-PBE, Alexandria).

Cell and atoms:
a = 11.7550 Å, b = 11.7550 Å, c = 3.2331 Å
α = 90.00°, β = 90.00°, γ = 120.00°
Space group P-3 (No. 147)
Unique sites:
1 Y 0.3333 0.6667 0.2470 x2
2 Al 0.0000 0.0000 0.5000 x1
3 Al 0.1298 0.4182 0.7466 x6
4 Ag 0.0792 0.6208 0.7507 x6
5 Ag 0.0827 0.8369 0.2447 x6

Largest 10 diffraction maxima, in order of rising 2θ, 10 to 90 degrees two-theta:
d_spacing	Rel. int.
3.848	29
2.475	100
2.337	13
2.221	50
2.127	6
1.653	20
1.617	7
1.455	6
1.326	17
1.307	16

# Y2Al3Ag2
Simulated powder diffractogram, Cu Ka. Input: a DFT-relaxed cell (GGA-PBE, Alexandria).

Cell and atoms:
a = 10.6921 Å, b = 4.4153 Å, c = 6.8221 Å
α = 90.00°, β = 115.16°, γ = 90.00°
Space group C2/m (No. 12)
Unique sites:
1 Y 0.1490 0.0000 0.2760 x4
2 Al 0.0000 0.5000 0.5000 x2
3 Al 0.0996 0.5000 0.9315 x4
4 Ag 0.1457 0.0000 0.7418 x4

Largest 10 diffraction maxima, in order of rising 2θ, 10 to 90 degrees two-theta:
d_spacing	Rel. int.
4.017	61
3.087	58
2.688	64
2.605	100
2.485	32
2.448	80
2.419	35
2.263	36
2.208	58
1.796	23

# Y3Al2Ag7
Simulated powder diffractogram, Cu Ka. Input: a DFT-relaxed cell (GGA-PBE, Alexandria).

Cell and atoms:
a = 4.1802 Å, b = 4.1802 Å, c = 29.1672 Å
α = 90.00°, β = 90.00°, γ = 90.00°
Space group I4/mmm (No. 139)
Unique sites:
1 Y 0.0000 0.0000 0.0000 x2
2 Y 0.0000 0.0000 0.1724 x4
3 Al 0.0000 0.0000 0.3656 x4
4 Ag 0.0000 0.0000 0.2755 x4
5 Ag 0.0000 0.0000 0.5000 x2
6 Ag 0.0000 0.5000 0.0791 x8

Largest 10 diffraction maxima, in order of rising 2θ, 10 to 90 degrees two-theta:
d_spacing	Rel. int.
2.897	38
2.739	49
2.561	38
2.526	100
2.296	35
2.239	22
2.090	69
1.478	22
1.421	25
1.276	21